Li4MnW3O12: calculated PXRD pattern (λ = 1.5418 Å (Cu Kα)), based on DFT lattice parameters and positions (PBE+U).

Cell and atoms:
```
data_Li4MnW3O12
_chemical_formula_sum 'Li4 Mn1 W3 O12'
_space_group_name_H-M_alt 'P 1 2 1'
_space_group_IT_number 3
_space_group_name_Hall 'P 2y'
_cell_length_a 5.052
_cell_length_b 8.914
_cell_length_c 5.150
_cell_angle_alpha 90.00
_cell_angle_beta 91.23
_cell_angle_gamma 90.00
loop_
_atom_site_label
_atom_site_type_symbol
_atom_site_fract_x
_atom_site_fract_y
_atom_site_fract_z
Li1 Li 0.000 0.000 0.000
Li2 Li 0.000 0.355 0.500
Li3 Li 0.500 0.480 0.500
Li4 Li 0.500 0.848 0.000
Mn1 Mn 0.500 0.088 0.500
W1 W 0.000 0.578 0.000
W2 W 0.000 0.792 0.500
W3 W 0.500 0.261 0.000
O1 O 0.199 0.612 0.687
O2 O 0.204 0.757 0.186
O3 O 0.234 0.924 0.660
O4 O 0.244 0.443 0.145
O5 O 0.277 0.121 0.149
O6 O 0.309 0.294 0.687
```

Peak list (8 most intense, 2θ = 15–90°, by angle)
4.459 Å, rel. 57
4.394 Å, rel. 100
2.822 Å, rel. 39
2.785 Å, rel. 36
2.574 Å, rel. 34
2.240 Å, rel. 14
2.204 Å, rel. 13
1.793 Å, rel. 14